For InSe3, a cell relaxed with PBE gives the simulated powder diffractogram in this record (a wavelength of 1.5418 Å).

Top 10 peaks for 2θ from 10° to 80°, by intensity:
6.996 Å, intensity 100, (0 1 0); 3.648 Å, intensity 83, (1 0 -1); 6.533 Å, intensity 70, (0 1 1); 3.173 Å, intensity 66, (0 1 -2); 2.828 Å, intensity 66, (-1 1 2); 2.684 Å, intensity 55, (1 2 2); 1.904 Å, intensity 47, (1 -2 2); 2.803 Å, intensity 45, (0 0 3); 2.993 Å, intensity 45, (1 1 2); 2.514 Å, intensity 44, (-1 2 1)

Crystal structure
```
data_InSe3
_cell_length_a 4.020
_cell_length_b 7.501
_cell_length_c 8.901
_cell_angle_alpha 71.01
_cell_angle_beta 89.35
_cell_angle_gamma 80.85
_space_group_name_H-M_alt 'P 1'
_space_group_IT_number 1
loop_
_space_group_symop_operation_xyz
'x,y,z'
loop_
_atom_site_label
_atom_site_type_symbol
_atom_site_fract_x
_atom_site_fract_y
_atom_site_fract_z
_atom_site_occupancy
In1 In 0.000 0.000 0.000 1
In2 In 0.446 0.263 0.606 1
Se1 Se 0.024 0.293 0.239 1
Se2 Se 0.336 0.498 0.312 1
Se3 Se 0.449 0.021 0.222 1
Se4 Se 0.571 0.794 0.916 1
Se5 Se 0.572 0.903 0.633 1
Se6 Se 0.917 0.341 0.773 1
```